(1)
# Pa2AlNiN5
Computed XRD peak list, a wavelength of 1.5418 Å. Input: a DFT-relaxed cell (PBE, Alexandria).
Kinematic intensities with the Lorentz-polarization factor, no thermal factor.

The 10 most intense peaks (15° ≤ 2θ ≤ 90°), low angle first:
2θ/deg	Rel. int.	(hkl)
16.66	379	0 2 1
17.82	512	0 0 2
27.85	430	1 1 0
29.77	421	0 4 1
30.45	1000	0 2 3
33.26	716	1 1 2
33.69	331	0 4 2
34.50	457	1 3 0
39.08	924	1 1 3
59.18	285	1 7 1

Atomic structure:
a = 3.3122 Å, b = 12.5900 Å, c = 9.9569 Å
α = 90.00°, β = 90.00°, γ = 90.00°
Space group Cmc2_1 (No. 36)
One atom of each set of equivalent atoms:
Pa  0.0000  0.0967  0.0000 x4
Pa  0.0000  0.1505  0.6280 x4
Al  0.0000  0.2039  0.3331 x4
Ni  0.0000  0.4733  0.7793 x4
N  0.0000  0.0595  0.3919 x4
N  0.0000  0.2745  0.9935 x4
N  0.0000  0.3216  0.7132 x4
N  0.0000  0.3648  0.3227 x4
N  0.0000  0.4848  0.0961 x4



(2)
# Al3N2O
Computed XRD peak list, a wavelength of 1.5418 Å. Input: a DFT-relaxed cell (PBE, Alexandria).
Kinematic intensities with the Lorentz-polarization factor, no thermal factor.

The 10 most intense peaks (15° ≤ 2θ ≤ 90°), low angle first:
2θ/deg	Rel. int.	(hkl)
35.14	1000	0 3 1
40.72	59	1 3 0
40.96	29	0 0 2
58.95	168	2 0 0
59.13	336	1 3 2
70.52	220	2 3 1
70.84	110	1 0 3
74.28	31	2 0 2
88.19	48	2 6 0
88.80	24	0 0 4

Atomic structure:
a = 3.1327 Å, b = 9.4026 Å, c = 4.4072 Å
α = 90.00°, β = 90.00°, γ = 90.00°
Space group Imm2 (No. 44)
One atom of each set of equivalent atoms:
Al  0.0000  0.0000  0.0000 x2
Al  0.0000  0.3265  0.9923 x4
N  0.0000  0.1628  0.2478 x4
O  0.0000  0.5000  0.2449 x2